(1)
Calculated X-ray powder pattern
Compound: ErGa2Fe2P
Radiation: λ = 1.5418 Å (Cu Kα)
Structure: a DFT-relaxed cell (PBE, Alexandria)
Peak positions follow from Bragg's law for the DFT cell and can differ from measured ones.

Principal peaks in the range 10° ≤ 2θ ≤ 90°, in order of rising 2θ:
hkl 1 0 1, 2θ 26.76, rel. 33; hkl 1 1 0, 2θ 29.96, rel. 46; hkl 1 1 1, 2θ 34.30, rel. 94; hkl 1 0 2, 2θ 39.46, rel. 100; hkl 2 0 0, 2θ 42.88, rel. 72; hkl 1 0 3, 2θ 55.17, rel. 21; hkl 2 1 2, 2θ 59.69, rel. 69; hkl 2 2 0, 2θ 62.25, rel. 23; hkl 3 1 1, 2θ 73.04, rel. 20; hkl 2 0 4, 2θ 84.93, rel. 18

Structural model:
a = 4.218 Å, b = 4.218 Å, c = 5.432 Å
α = 90.00°, β = 90.00°, γ = 90.00°
Space group P4/mmm (No. 123)
Unique sites:
Er (0.000, 0.000, 0.000) x1
Ga (0.500, 0.500, 0.232) x2
Fe (0.000, 0.500, 0.500) x2
P (0.000, 0.000, 0.500) x1


(2)
Calculated X-ray powder pattern
Compound: LiAcCd2Hg5
Radiation: λ = 1.5418 Å (Cu Kα)
Structure: a DFT-relaxed cell (PBE, Alexandria)
Peak positions follow from Bragg's law for the DFT cell and can differ from measured ones.

Principal peaks in the range 10° ≤ 2θ ≤ 90°, in order of rising 2θ:
hkl 1 0 3, 2θ 25.58, rel. 77; hkl 1 2 1, 2θ 32.88, rel. 100; hkl 1 0 5, 2θ 35.49, rel. 33; hkl 0 2 4, 2θ 36.26, rel. 55; hkl 2 0 0, 2θ 36.38, rel. 41; hkl 0 0 6, 2θ 36.62, rel. 17; hkl 1 2 3, 2θ 37.25, rel. 16; hkl 2 2 4, 2θ 52.31, rel. 39; hkl 0 4 0, 2θ 54.80, rel. 39; hkl 3 2 1, 2θ 63.25, rel. 16

Structural model:
a = 4.940 Å, b = 6.698 Å, c = 14.725 Å
α = 90.00°, β = 90.00°, γ = 90.00°
Space group Immm (No. 71)
Unique sites:
Li (0.000, 0.000, 0.000) x2
Ac (0.000, 0.000, 0.500) x2
Cd (0.000, 0.500, 0.307) x4
Hg (0.000, 0.265, 0.139) x8
Hg (0.000, 0.500, 0.500) x2


(3)
Calculated X-ray powder pattern
Compound: Ga2Ge4Pb3O14
Radiation: λ = 1.5418 Å (Cu Kα)
Structure: a DFT-relaxed cell (PBE, Alexandria)
Peak positions follow from Bragg's law for the DFT cell and can differ from measured ones.

Principal peaks in the range 10° ≤ 2θ ≤ 90°, in order of rising 2θ:
hkl 2 0 0, 2θ 24.12, rel. 21; hkl 1 1 1, 2θ 27.45, rel. 83; hkl 2 0 1, 2θ 30.05, rel. 100; hkl 2 1 0, 2θ 32.09, rel. 34; hkl 0 0 2, 2θ 35.77, rel. 19; hkl 3 1 0, 2θ 44.25, rel. 27; hkl 3 1 1, 2θ 48.00, rel. 33; hkl 1 2 2, 2θ 48.81, rel. 27; hkl 2 3 1, 2θ 57.44, rel. 18; hkl 1 3 2, 2θ 58.15, rel. 17

Structural model:
a = 8.5222 Å, b = 8.5222 Å, c = 5.0203 Å
α = 90.00°, β = 90.00°, γ = 120.00°
Space group P321 (No. 150)
Unique sites:
Ga (0.3333, 0.6667, 0.0045) x2
Ge (0.0000, 0.0000, 0.5000) x1
Ge (0.0000, 0.2447, 0.0000) x3
Pb (0.0000, 0.5722, 0.5000) x3
O (0.0901, 0.8820, 0.7330) x6
O (0.1586, 0.4490, 0.1648) x6
O (0.3333, 0.6667, 0.6478) x2


(4)
Calculated X-ray powder pattern
Compound: Np4Ag3O12
Radiation: λ = 1.5418 Å (Cu Kα)
Structure: a DFT-relaxed cell (PBE, Alexandria)
Peak positions follow from Bragg's law for the DFT cell and can differ from measured ones.

Principal peaks in the range 10° ≤ 2θ ≤ 90°, in order of rising 2θ:
hkl 2 0 0, 2θ 21.43, rel. 33; hkl 2 2 0, 2θ 30.49, rel. 100; hkl 2 2 2, 2θ 37.57, rel. 5; hkl 4 0 0, 2θ 43.66, rel. 25; hkl 4 2 0, 2θ 49.13, rel. 16; hkl 4 2 2, 2θ 54.18, rel. 45; hkl 4 4 0, 2θ 63.45, rel. 15; hkl 4 4 2, 2θ 67.80, rel. 7; hkl 6 2 0, 2θ 72.02, rel. 18; hkl 6 2 4, 2θ 88.16, rel. 23

Structural model:
a = 8.293 Å, b = 8.293 Å, c = 8.293 Å
α = 90.00°, β = 90.00°, γ = 90.00°
Space group Im-3 (No. 204)
Unique sites:
Np (0.250, 0.250, 0.250) x8
Ag (0.000, 0.000, 0.500) x6
O (0.000, 0.291, 0.206) x24


(5)
Calculated X-ray powder pattern
Compound: SnBi5Pb2
Radiation: λ = 1.5418 Å (Cu Kα)
Structure: a DFT-relaxed cell (PBE, Alexandria)
Peak positions follow from Bragg's law for the DFT cell and can differ from measured ones.

Principal peaks in the range 10° ≤ 2θ ≤ 90°, in order of rising 2θ:
hkl 2 2 0, 2θ 28.82, rel. 100; hkl 1 1 -2, 2θ 29.94, rel. 29; hkl 2 2 -2, 2θ 33.30, rel. 64; hkl 4 0 -2, 2θ 33.42, rel. 23; hkl 0 4 0, 2θ 41.21, rel. 20; hkl 4 0 0, 2θ 41.23, rel. 19; hkl 0 4 2, 2θ 53.91, rel. 22; hkl 6 2 -2, 2θ 54.13, rel. 12; hkl 4 4 0, 2θ 59.71, rel. 13; hkl 2 6 0, 2θ 67.63, rel. 18

Structural model:
a = 11.066 Å, b = 8.763 Å, c = 6.811 Å
α = 90.00°, β = 127.68°, γ = 90.00°
Space group Cm (No. 8)
Unique sites:
Sn (0.000, 0.000, 0.000) x2
Bi (0.243, 0.243, 0.075) x4
Bi (0.257, 0.256, 0.599) x4
Bi (0.493, 0.500, 0.462) x2
Pb (0.005, 0.500, 0.145) x2
Pb (0.496, 0.000, 0.636) x2


(6)
Calculated X-ray powder pattern
Compound: MnGaRh6
Radiation: λ = 1.5418 Å (Cu Kα)
Structure: a DFT-relaxed cell (PBE, Alexandria)
Peak positions follow from Bragg's law for the DFT cell and can differ from measured ones.

Principal peaks in the range 10° ≤ 2θ ≤ 90°, in order of rising 2θ:
hkl 1 1 0, 2θ 23.20, rel. 3; hkl 1 1 1, 2θ 33.10, rel. 3; hkl 2 0 1, 2θ 40.83, rel. 100; hkl 2 2 0, 2θ 47.42, rel. 32; hkl 0 0 2, 2θ 47.68, rel. 16; hkl 4 0 0, 2θ 69.31, rel. 10; hkl 2 2 2, 2θ 69.52, rel. 20; hkl 4 2 1, 2θ 83.69, rel. 24; hkl 2 0 3, 2θ 84.08, rel. 12; hkl 4 0 2, 2θ 88.48, rel. 11

Structural model:
a = 5.423 Å, b = 5.423 Å, c = 3.815 Å
α = 90.00°, β = 90.00°, γ = 90.00°
Space group P4/mmm (No. 123)
Unique sites:
Mn (0.000, 0.000, 0.000) x1
Ga (0.500, 0.500, 0.000) x1
Rh (0.000, 0.500, 0.000) x2
Rh (0.248, 0.248, 0.500) x4